Computed powder diffraction line list of CaMg for Cu Kα X-rays, from DFT lattice parameters and positions (GGA-PBE).

Crystal structure
```
data_CaMg
_cell_length_a 5.7296
_cell_length_b 3.5780
_cell_length_c 5.9944
_cell_angle_alpha 90.00
_cell_angle_beta 90.00
_cell_angle_gamma 90.00
_symmetry_space_group_name_H-M 'P 1'
_symmetry_Int_Tables_number 1
_symmetry_space_group_name_Hall 'P 1'
loop_
_atom_site_label
_atom_site_type_symbol
_atom_site_fract_x
_atom_site_fract_y
_atom_site_fract_z
Ca1 Ca 0.2500 0.0000 0.1908
Ca2 Ca 0.7500 0.0000 0.8092
Mg1 Mg 0.2500 0.5000 0.6751
Mg2 Mg 0.7500 0.5000 0.3249
```

Principal peaks in the range 2θ = 10–90°, most intense first:
d_spacing  2θ/deg  I (rel.)  index
2.708  33.1  100  1 1 1
2.865  31.2  35  2 0 0
2.656  33.7  30  1 0 2
1.622  56.8  19  3 1 1
2.997  29.8  18  0 0 2
1.490  62.3  14  2 1 3